No. 1
NaGa8Au2: calculated XRD peak list (CuKα), based on a DFT-relaxed cell (PBE, Alexandria).
Kinematic intensities with the Lorentz-polarization factor, no thermal factor.

Main lines, low angle first (2θ = 15–90°):
2θ (°), intensity
16.0, 36
19.4, 48
25.2, 83
32.0, 42
38.0, 27
39.3, 57
43.0, 100
44.2, 23
47.3, 30
73.8, 23

Structural model:
```
NaGa8Au2
1.0
6.4818 0.0000 0.0000
0.0000 6.4818 0.0000
0.0000 0.0000 5.5306
Na Ga Au
1 8 2
Direct
0.0000 0.0000 0.0000
0.2888 0.2888 0.2395
0.2888 0.2888 0.7605
0.2888 0.7112 0.2395
0.2888 0.7112 0.7605
0.7112 0.2888 0.2395
0.7112 0.2888 0.7605
0.7112 0.7112 0.2395
0.7112 0.7112 0.7605
0.0000 0.5000 0.5000
0.5000 0.0000 0.5000
```


No. 2
Na3Ga8Au3: calculated XRD peak list (CuKα), based on a DFT-relaxed cell (PBE, Alexandria).
Kinematic intensities with the Lorentz-polarization factor, no thermal factor.

Main lines, low angle first (2θ = 15–90°):
2θ (°), intensity
22.4, 100
22.9, 36
34.2, 26
34.9, 38
36.7, 30
41.6, 40
42.2, 25
42.6, 27
44.0, 27
45.1, 28

Structural model:
```
Na3Ga8Au3
1.0
7.9924 -2.1727 0.0000
7.9924 2.1727 0.0000
-5.8599 0.0000 7.9408
Na Ga Au
3 8 3
Direct
0.0000 0.0000 0.0000
0.2935 0.2935 0.2890
0.7065 0.7065 0.7110
0.1446 0.1446 0.8544
0.1462 0.1462 0.4312
0.3420 0.3420 0.7169
0.4954 0.4954 0.6771
0.5046 0.5046 0.3229
0.6580 0.6580 0.2831
0.8538 0.8538 0.5688
0.8554 0.8554 0.1456
0.0000 0.0000 0.5000
0.3518 0.3518 0.9890
0.6482 0.6482 0.0110
```


No. 3
NaGa2Au5: calculated XRD peak list (CuKα), based on a DFT-relaxed cell (PBE, Alexandria).
Kinematic intensities with the Lorentz-polarization factor, no thermal factor.

Main lines, low angle first (2θ = 15–90°):
2θ (°), intensity
33.5, 100
33.8, 100
41.4, 68
42.2, 38
42.8, 54
44.4, 28
45.1, 36
62.8, 40
70.2, 25
76.9, 28

Structural model:
```
NaGa2Au5
1.0
4.0242 0.0000 0.0000
0.0000 7.4430 0.0000
0.0000 0.0000 10.7686
Na Ga Au
2 4 10
Direct
0.0000 0.0000 0.0000
0.5000 0.5000 0.5000
0.0000 0.5000 0.2494
0.0000 0.5000 0.7506
0.5000 0.0000 0.2506
0.5000 0.0000 0.7494
0.0000 0.2033 0.3618
0.0000 0.2033 0.6382
0.0000 0.5000 0.0000
0.0000 0.7967 0.3618
0.0000 0.7967 0.6382
0.5000 0.0000 0.5000
0.5000 0.2967 0.1382
0.5000 0.2967 0.8618
0.5000 0.7033 0.1382
0.5000 0.7033 0.8618
```